Record 1
For LiZnPO4, a cell relaxed with GGA-PBE gives the simulated XRD peak list in this record (Cu Kα, 1.54184 Å).
Peak positions follow from Bragg's law for the DFT cell and can differ from measured ones.

Crystal structure
abc: 9.961 4.948 6.634
angles: 90.00 90.00 90.00
Space group Pna2_1 (No. 33)
Symmetry-distinct sites (fractional):
Li  0.155  0.183  0.000 (multiplicity 4)
Zn  0.156  0.182  0.499 (multiplicity 4)
P  0.092  0.680  0.250 (multiplicity 4)
O  0.059  0.244  0.751 (multiplicity 4)
O  0.112  0.369  0.249 (multiplicity 4)
O  0.157  0.798  0.057 (multiplicity 4)
O  0.159  0.792  0.444 (multiplicity 4)

Largest 10 diffraction maxima, sorted by position, 2θ from 10° to 90°:
2θ = 22.37°, I 100, hkl 2 0 1; 2θ = 24.15°, I 9, hkl 1 1 1; 2θ = 32.44°, I 19, hkl 2 0 2; 2θ = 33.75°, I 10, hkl 1 1 2; 2θ = 36.07°, I 16, hkl 4 0 0; 2θ = 36.31°, I 16, hkl 0 2 0; 2θ = 37.30°, I 9, hkl 2 1 2; 2θ = 44.87°, I 10, hkl 2 0 3; 2θ = 55.39°, I 8, hkl 0 0 4; 2θ = 62.57°, I 8, hkl 6 0 2

***

Record 2
For LiZnP3O9, a cell relaxed with GGA-PBE gives the simulated XRD peak list in this record (Cu Kα, 1.54184 Å).
Peak positions follow from Bragg's law for the DFT cell and can differ from measured ones.

Crystal structure
abc: 8.322 8.483 8.584
angles: 90.00 90.00 90.00
Space group P2_12_12_1 (No. 19)
Symmetry-distinct sites (fractional):
Li  0.152  0.134  0.115 (multiplicity 4)
Zn  0.128  0.857  0.342 (multiplicity 4)
P  0.028  0.320  0.817 (multiplicity 4)
P  0.185  0.479  0.311 (multiplicity 4)
P  0.203  0.809  0.943 (multiplicity 4)
O  0.039  0.769  0.850 (multiplicity 4)
O  0.087  0.615  0.368 (multiplicity 4)
O  0.107  0.877  0.584 (multiplicity 4)
O  0.121  0.381  0.178 (multiplicity 4)
O  0.131  0.189  0.881 (multiplicity 4)
O  0.139  0.464  0.762 (multiplicity 4)
O  0.158  0.866  0.101 (multiplicity 4)
O  0.187  0.094  0.344 (multiplicity 4)
O  0.224  0.366  0.458 (multiplicity 4)

Largest 10 diffraction maxima, sorted by position, 2θ from 10° to 90°:
2θ = 20.69°, I 20, hkl 0 0 2; 2θ = 23.32°, I 100, hkl 1 0 2; 2θ = 23.54°, I 77, hkl 1 2 0; 2θ = 23.81°, I 27, hkl 2 1 0; 2θ = 25.76°, I 18, hkl 1 2 1; 2θ = 26.01°, I 35, hkl 2 1 1; 2θ = 33.04°, I 37, hkl 0 1 3; 2θ = 33.47°, I 44, hkl 1 3 0; 2θ = 33.97°, I 38, hkl 3 0 1; 2θ = 38.14°, I 19, hkl 0 3 2

***

Record 3
For LiZnPO4, a cell relaxed with GGA-PBE gives the simulated XRD peak list in this record (Cu Kα, 1.54184 Å).
Peak positions follow from Bragg's law for the DFT cell and can differ from measured ones.

Crystal structure
abc: 13.6074 13.6074 9.0951
angles: 90.00 90.00 120.00
Space group R3 (No. 146, hexagonal axes)
Symmetry-distinct sites (fractional):
Li  0.0207  0.8083  0.0000 (multiplicity 9)
Li  0.1416  0.4605  0.1634 (multiplicity 9)
Zn  0.0165  0.8077  0.6666 (multiplicity 9)
Zn  0.1399  0.4535  0.8303 (multiplicity 9)
P  0.0133  0.8033  0.3318 (multiplicity 9)
P  0.1361  0.4562  0.4969 (multiplicity 9)
O  0.0016  0.6843  0.3305 (multiplicity 9)
O  0.0199  0.3453  0.4975 (multiplicity 9)
O  0.0756  0.8697  0.4721 (multiplicity 9)
O  0.0773  0.8704  0.1927 (multiplicity 9)
O  0.1093  0.8896  0.8345 (multiplicity 9)
O  0.2017  0.0706  0.6886 (multiplicity 9)
O  0.2058  0.0786  0.9678 (multiplicity 9)
O  0.2141  0.1060  0.3339 (multiplicity 9)

Largest 10 diffraction maxima, sorted by position, 2θ from 10° to 90°:
2θ = 13.01°, I 23, hkl 1 1 0; 2θ = 20.94°, I 34, hkl 0 1 2; 2θ = 22.22°, I 100, hkl 3 -1 1; 2θ = 22.64°, I 27, hkl 3 0 0; 2θ = 26.20°, I 77, hkl 2 2 0; 2θ = 32.33°, I 80, hkl 1 1 3; 2θ = 34.89°, I 77, hkl 4 1 0; 2θ = 39.83°, I 31, hkl 2 2 3; 2θ = 50.24°, I 37, hkl 6 -3 3; 2θ = 67.49°, I 41, hkl 1 7 3